For PmNdAs2Pd5, a crystal structure in Alexandria, relaxed with PBE gives the calculated PXRD pattern in this record (a wavelength of 1.5418 Å).
Kinematic intensities with the Lorentz-polarization factor, no thermal factor.

Atomic structure:
abc: 4.2664 4.2664 9.4567
angles: 90.00 90.00 90.00
Sites, in units of the cell vectors:
Pm: 0.0000 0.0000 0.0000
Nd: 0.0000 0.0000 0.5000
As: 0.5000 0.5000 0.1384
As: 0.5000 0.5000 0.8616
Pd: 0.0000 0.5000 0.2767
Pd: 0.0000 0.5000 0.7233
Pd: 0.5000 0.0000 0.2767
Pd: 0.5000 0.0000 0.7233
Pd: 0.5000 0.5000 0.5000

Peak list (12 most intense, 10 to 90 degrees two-theta, in order of rising 2θ)
2θ 28.17, intensity 12.8; 2θ 35.29, intensity 100.0; 2θ 35.41, intensity 9.7; 2θ 38.06, intensity 11.6; 2θ 41.43, intensity 20.9; 2θ 42.37, intensity 47.6; 2θ 43.78, intensity 9.7; 2θ 58.26, intensity 13.3; 2θ 61.47, intensity 15.6; 2θ 62.56, intensity 6.7; 2θ 66.99, intensity 12.3; 2θ 72.92, intensity 24.6

***

For DyCoSi3Os, a crystal structure in Alexandria, relaxed with PBE gives the calculated PXRD pattern in this record (a wavelength of 1.5418 Å).
Kinematic intensities with the Lorentz-polarization factor, no thermal factor.

Atomic structure:
abc: 6.7274 6.7274 5.3074
angles: 90.00 90.00 114.45
Sites, in units of the cell vectors:
Dy: 0.2131 0.7869 0.7500
Dy: 0.7869 0.2131 0.2500
Co: 0.4521 0.5479 0.2500
Co: 0.5479 0.4521 0.7500
Si: 0.2583 0.2583 0.0000
Si: 0.2583 0.2583 0.5000
Si: 0.2711 0.7289 0.2500
Si: 0.7289 0.2711 0.7500
Si: 0.7417 0.7417 0.0000
Si: 0.7417 0.7417 0.5000
Os: 0.0737 0.9263 0.2500
Os: 0.9263 0.0737 0.7500

Peak list (12 most intense, 10 to 90 degrees two-theta, in order of rising 2θ)
2θ 14.46, intensity 50.5; 2θ 24.44, intensity 60.8; 2θ 31.59, intensity 100.0; 2θ 33.78, intensity 27.5; 2θ 35.98, intensity 21.6; 2θ 36.92, intensity 11.9; 2θ 42.13, intensity 48.8; 2θ 43.98, intensity 25.0; 2θ 47.74, intensity 30.5; 2θ 50.10, intensity 14.6; 2θ 59.05, intensity 16.1; 2θ 61.81, intensity 14.1

***

For Pm2TmRu, a crystal structure in Alexandria, relaxed with PBE gives the calculated PXRD pattern in this record (a wavelength of 1.5418 Å).
Kinematic intensities with the Lorentz-polarization factor, no thermal factor.

Atomic structure:
abc: 4.0098 11.9376 9.2425
angles: 90.00 90.00 90.00
Sites, in units of the cell vectors:
Pm: 0.0000 0.1401 0.0675
Pm: 0.0000 0.1401 0.4325
Pm: 0.0000 0.8599 0.5675
Pm: 0.0000 0.8599 0.9325
Pm: 0.5000 0.3599 0.5675
Pm: 0.5000 0.3599 0.9325
Pm: 0.5000 0.6401 0.0675
Pm: 0.5000 0.6401 0.4325
Tm: 0.0000 0.4199 0.2500
Tm: 0.0000 0.5801 0.7500
Tm: 0.5000 0.0801 0.7500
Tm: 0.5000 0.9199 0.2500
Ru: 0.0000 0.2393 0.7500
Ru: 0.0000 0.7607 0.2500
Ru: 0.5000 0.2607 0.2500
Ru: 0.5000 0.7393 0.7500

Peak list (12 most intense, 10 to 90 degrees two-theta, in order of rising 2θ)
2θ 29.94, intensity 18.3; 2θ 30.45, intensity 81.4; 2θ 31.68, intensity 44.0; 2θ 32.71, intensity 90.4; 2θ 33.17, intensity 100.0; 2θ 37.58, intensity 37.9; 2θ 45.24, intensity 36.6; 2θ 49.90, intensity 20.4; 2θ 56.93, intensity 37.4; 2θ 58.82, intensity 19.0; 2θ 59.79, intensity 26.0; 2θ 82.81, intensity 19.5

***

For NaIn2S3, a crystal structure in Alexandria, relaxed with PBE gives the calculated PXRD pattern in this record (a wavelength of 1.5418 Å).
Kinematic intensities with the Lorentz-polarization factor, no thermal factor.

Atomic structure:
abc: 3.7251 11.2144 6.9225
angles: 90.00 90.00 90.00
Sites, in units of the cell vectors:
Na: 0.0000 0.0940 0.0000
Na: 0.0000 0.9060 0.5000
In: 0.0000 0.2297 0.4930
In: 0.0000 0.7703 0.9930
In: 0.5000 0.4391 0.9796
In: 0.5000 0.5609 0.4796
S: 0.0000 0.4304 0.6767
S: 0.0000 0.5696 0.1767
S: 0.5000 0.1058 0.6580
S: 0.5000 0.2563 0.2225
S: 0.5000 0.7437 0.7225
S: 0.5000 0.8942 0.1580

Peak list (12 most intense, 10 to 90 degrees two-theta, in order of rising 2θ)
2θ 15.04, intensity 39.8; 2θ 20.38, intensity 34.2; 2θ 25.74, intensity 39.3; 2θ 27.11, intensity 100.0; 2θ 28.35, intensity 74.6; 2θ 28.77, intensity 32.6; 2θ 31.60, intensity 32.7; 2θ 36.32, intensity 59.7; 2θ 38.98, intensity 77.3; 2θ 42.41, intensity 54.9; 2θ 46.24, intensity 41.0; 2θ 49.21, intensity 36.6

***

For Sr3BiCl3O3, a crystal structure in Alexandria, relaxed with PBE gives the calculated PXRD pattern in this record (a wavelength of 1.5418 Å).
Kinematic intensities with the Lorentz-polarization factor, no thermal factor.

Atomic structure:
abc: 6.7650 11.5426 12.0546
angles: 90.00 90.00 90.00
Sites, in units of the cell vectors:
Sr: 0.1535 0.2500 0.0343
Sr: 0.1634 0.0696 0.3875
Sr: 0.1634 0.4304 0.3875
Sr: 0.3366 0.5696 0.8875
Sr: 0.3366 0.9304 0.8875
Sr: 0.3465 0.7500 0.5343
Sr: 0.6535 0.2500 0.4657
Sr: 0.6634 0.0696 0.1125
Sr: 0.6634 0.4304 0.1125
Sr: 0.8366 0.5696 0.6125
Sr: 0.8366 0.9304 0.6125
Sr: 0.8465 0.7500 0.9657
Bi: 0.0989 0.2500 0.6212
Bi: 0.4011 0.7500 0.1212
Bi: 0.5989 0.2500 0.8788
Bi: 0.9011 0.7500 0.3788
Cl: 0.0884 0.5094 0.1473
Cl: 0.0883 0.7500 0.7283
Cl: 0.0884 0.9906 0.1473
Cl: 0.4116 0.0094 0.6473
Cl: 0.4117 0.2500 0.2283
Cl: 0.4116 0.4906 0.6473
Cl: 0.5884 0.5094 0.3527
Cl: 0.5883 0.7500 0.7717
Cl: 0.5884 0.9906 0.3527
Cl: 0.9116 0.0094 0.8527
Cl: 0.9117 0.2500 0.2717
Cl: 0.9116 0.4906 0.8527
O: 0.0803 0.6223 0.4554
O: 0.0803 0.8777 0.4554
O: 0.2063 0.7500 0.9850
O: 0.2937 0.2500 0.4850
O: 0.4197 0.1223 0.9554
O: 0.4197 0.3777 0.9554
O: 0.5803 0.6223 0.0446
O: 0.5803 0.8777 0.0446
O: 0.7063 0.7500 0.5150
O: 0.7937 0.2500 0.0150
O: 0.9197 0.1223 0.5446
O: 0.9197 0.3777 0.5446

Peak list (12 most intense, 10 to 90 degrees two-theta, in order of rising 2θ)
2θ 15.02, intensity 63.6; 2θ 15.35, intensity 43.2; 2θ 21.19, intensity 74.9; 2θ 25.09, intensity 99.7; 2θ 26.94, intensity 46.0; 2θ 27.48, intensity 69.1; 2θ 30.15, intensity 53.8; 2θ 30.57, intensity 100.0; 2θ 30.99, intensity 41.3; 2θ 31.54, intensity 90.3; 2θ 37.01, intensity 40.8; 2θ 38.12, intensity 39.0

***

For TePb2Cl2, a crystal structure in Alexandria, relaxed with PBE gives the calculated PXRD pattern in this record (a wavelength of 1.5418 Å).
Kinematic intensities with the Lorentz-polarization factor, no thermal factor.

Atomic structure:
abc: 10.8785 8.8676 7.7665
angles: 90.00 97.84 90.00
Sites, in units of the cell vectors:
Te: 0.1831 0.1140 0.4641
Te: 0.1831 0.3860 0.9641
Te: 0.8169 0.6140 0.0359
Te: 0.8169 0.8860 0.5359
Pb: 0.0060 0.1483 0.7499
Pb: 0.0060 0.3517 0.2499
Pb: 0.3486 0.1231 0.1350
Pb: 0.3486 0.3769 0.6350
Pb: 0.6514 0.6231 0.3650
Pb: 0.6514 0.8769 0.8650
Pb: 0.9940 0.6483 0.7501
Pb: 0.9940 0.8517 0.2501
Cl: 0.1441 0.5946 0.4371
Cl: 0.1441 0.9054 0.9371
Cl: 0.4963 0.1781 0.8558
Cl: 0.4963 0.3219 0.3558
Cl: 0.5037 0.6781 0.6442
Cl: 0.5037 0.8219 0.1442
Cl: 0.8559 0.0946 0.0629
Cl: 0.8559 0.4054 0.5629

Peak list (12 most intense, 10 to 90 degrees two-theta, in order of rising 2θ)
2θ 12.93, intensity 75.9; 2θ 18.07, intensity 35.6; 2θ 24.06, intensity 26.0; 2θ 25.13, intensity 36.4; 2θ 26.57, intensity 65.6; 2θ 29.46, intensity 100.0; 2θ 33.29, intensity 14.7; 2θ 36.47, intensity 24.3; 2θ 39.52, intensity 51.0; 2θ 40.51, intensity 26.8; 2θ 40.67, intensity 45.5; 2θ 49.27, intensity 20.1

***

For K2ZnCdAu2, a crystal structure in Alexandria, relaxed with PBE gives the calculated PXRD pattern in this record (a wavelength of 1.5418 Å).
Kinematic intensities with the Lorentz-polarization factor, no thermal factor.

Atomic structure:
abc: 8.5163 8.5163 8.5163
angles: 124.67 74.51 134.29
Sites, in units of the cell vectors:
K: 0.1790 0.2173 0.3963
K: 0.3210 0.7173 0.0383
K: 0.6790 0.2827 0.9617
K: 0.8210 0.7827 0.6037
Zn: 0.2500 0.2500 0.0000
Zn: 0.7500 0.7500 0.0000
Cd: 0.2500 0.7500 0.5000
Cd: 0.7500 0.2500 0.5000
Au: 0.0708 0.7703 0.8411
Au: 0.4292 0.2703 0.6995
Au: 0.5708 0.7297 0.3005
Au: 0.9292 0.2297 0.1589

Peak list (12 most intense, 10 to 90 degrees two-theta, in order of rising 2θ)
2θ 13.06, intensity 100.0; 2θ 21.88, intensity 48.9; 2θ 22.48, intensity 14.9; 2θ 26.95, intensity 11.1; 2θ 31.75, intensity 73.9; 2θ 35.38, intensity 53.8; 2θ 37.86, intensity 31.4; 2θ 39.11, intensity 11.0; 2θ 45.71, intensity 22.7; 2θ 46.28, intensity 13.2; 2θ 48.81, intensity 11.6; 2θ 50.72, intensity 19.7

***

For K2ZnTeS4, a crystal structure in Alexandria, relaxed with PBE gives the calculated PXRD pattern in this record (a wavelength of 1.5418 Å).
Kinematic intensities with the Lorentz-polarization factor, no thermal factor.

Atomic structure:
abc: 13.3561 11.7851 7.6683
angles: 83.87 61.32 34.81
Sites, in units of the cell vectors:
K: 0.0583 0.0583 0.6917
K: 0.3083 0.3083 0.9417
K: 0.6917 0.6917 0.0583
K: 0.9417 0.9417 0.3083
Zn: 0.3750 0.3750 0.3750
Zn: 0.6250 0.6250 0.6250
Te: 0.1250 0.1250 0.1250
Te: 0.8750 0.8750 0.8750
S: 0.0160 0.3473 0.4385
S: 0.3019 0.5615 0.6527
S: 0.3473 0.0160 0.6981
S: 0.4385 0.6981 0.0160
S: 0.5615 0.3019 0.9840
S: 0.6527 0.9840 0.3019
S: 0.6981 0.4385 0.3473
S: 0.9840 0.6527 0.5615

Peak list (12 most intense, 10 to 90 degrees two-theta, in order of rising 2θ)
2θ 14.85, intensity 100.0; 2θ 15.59, intensity 67.8; 2θ 24.15, intensity 21.1; 2θ 26.74, intensity 50.9; 2θ 30.98, intensity 35.5; 2θ 31.49, intensity 32.9; 2θ 35.33, intensity 31.7; 2θ 37.43, intensity 38.2; 2θ 39.56, intensity 30.3; 2θ 45.61, intensity 19.2; 2θ 48.76, intensity 22.1; 2θ 49.68, intensity 20.8

***

For Pr5Sb4Br, a crystal structure in Alexandria, relaxed with PBE gives the calculated PXRD pattern in this record (a wavelength of 1.5418 Å).
Kinematic intensities with the Lorentz-polarization factor, no thermal factor.

Atomic structure:
abc: 11.9684 11.9684 11.9684
angles: 158.06 149.03 38.28
Sites, in units of the cell vectors:
Pr: 0.0000 0.0000 0.0000
Pr: 0.1993 0.1993 0.0000
Pr: 0.3937 0.3937 0.0000
Pr: 0.6063 0.6063 0.0000
Pr: 0.8007 0.8007 0.0000
Sb: 0.0982 0.5982 0.5000
Sb: 0.2998 0.7998 0.5000
Sb: 0.7002 0.2002 0.5000
Sb: 0.9018 0.4018 0.5000
Br: 0.5000 0.0000 0.5000

Peak list (12 most intense, 10 to 90 degrees two-theta, in order of rising 2θ)
2θ 27.80, intensity 100.0; 2θ 27.92, intensity 49.9; 2θ 39.57, intensity 19.5; 2θ 39.82, intensity 94.5; 2θ 49.12, intensity 20.9; 2θ 49.37, intensity 19.8; 2θ 57.42, intensity 12.5; 2θ 64.77, intensity 8.9; 2θ 65.04, intensity 17.1; 2θ 65.22, intensity 25.6; 2θ 71.95, intensity 13.1; 2θ 72.37, intensity 18.2

***

For HfCoW2, a crystal structure in Alexandria, relaxed with PBE gives the calculated PXRD pattern in this record (a wavelength of 1.5418 Å).
Kinematic intensities with the Lorentz-polarization factor, no thermal factor.

Atomic structure:
abc: 6.3106 6.3106 6.3106
angles: 90.00 90.00 90.00
Sites, in units of the cell vectors:
Hf: 0.0000 0.0000 0.0000
Hf: 0.0000 0.5000 0.5000
Hf: 0.5000 0.0000 0.5000
Hf: 0.5000 0.5000 0.0000
Co: 0.0000 0.0000 0.5000
Co: 0.0000 0.5000 0.0000
Co: 0.5000 0.0000 0.0000
Co: 0.5000 0.5000 0.5000
W: 0.2500 0.2500 0.2500
W: 0.2500 0.2500 0.7500
W: 0.2500 0.7500 0.2500
W: 0.2500 0.7500 0.7500
W: 0.7500 0.2500 0.2500
W: 0.7500 0.2500 0.7500
W: 0.7500 0.7500 0.2500
W: 0.7500 0.7500 0.7500

Peak list (11 most intense, 10 to 90 degrees two-theta, in order of rising 2θ)
2θ 24.43, intensity 8.7; 2θ 28.28, intensity 5.4; 2θ 40.43, intensity 100.0; 2θ 47.80, intensity 4.6; 2θ 50.07, intensity 1.6; 2θ 58.50, intensity 17.0; 2θ 64.35, intensity 2.0; 2θ 66.23, intensity 2.2; 2θ 73.52, intensity 34.4; 2θ 78.81, intensity 1.5; 2θ 87.43, intensity 11.3

***

For TmIn2Hg2, a crystal structure in Alexandria, relaxed with PBE gives the calculated PXRD pattern in this record (a wavelength of 1.5418 Å).
Kinematic intensities with the Lorentz-polarization factor, no thermal factor.

Atomic structure:
abc: 5.0823 5.0823 12.3653
angles: 90.00 90.00 120.00
Sites, in units of the cell vectors:
Tm: 0.0000 0.0000 0.2500
Tm: 0.0000 0.0000 0.7500
In: 0.0000 0.0000 0.0000
In: 0.0000 0.0000 0.5000
In: 0.3333 0.6667 0.2500
In: 0.6667 0.3333 0.7500
Hg: 0.3333 0.6667 0.6178
Hg: 0.3333 0.6667 0.8822
Hg: 0.6667 0.3333 0.1178
Hg: 0.6667 0.3333 0.3822

Peak list (12 most intense, 10 to 90 degrees two-theta, in order of rising 2θ)
2θ 21.43, intensity 18.3; 2θ 29.69, intensity 69.6; 2θ 35.32, intensity 100.0; 2θ 35.49, intensity 55.0; 2θ 41.90, intensity 15.8; 2θ 46.80, intensity 20.2; 2θ 50.94, intensity 19.8; 2θ 59.96, intensity 19.3; 2θ 63.40, intensity 18.3; 2θ 63.51, intensity 20.5; 2θ 71.43, intensity 24.2; 2θ 74.71, intensity 11.4

***

For Rb3TlV2Cl9, a crystal structure in Alexandria, relaxed with PBE gives the calculated PXRD pattern in this record (a wavelength of 1.5418 Å).
Kinematic intensities with the Lorentz-polarization factor, no thermal factor.

Atomic structure:
abc: 7.1935 7.1935 10.0366
angles: 90.00 90.00 120.00
Sites, in units of the cell vectors:
Rb: 0.0000 0.0000 0.0000
Rb: 0.3333 0.6667 0.7230
Rb: 0.6667 0.3333 0.2770
Tl: 0.0000 0.0000 0.5000
V: 0.3333 0.6667 0.1475
V: 0.6667 0.3333 0.8525
Cl: 0.0000 0.5000 0.0000
Cl: 0.1755 0.3509 0.2800
Cl: 0.1755 0.8245 0.2800
Cl: 0.3509 0.1755 0.7200
Cl: 0.5000 0.0000 0.0000
Cl: 0.5000 0.5000 0.0000
Cl: 0.6491 0.8245 0.2800
Cl: 0.8245 0.1755 0.7200
Cl: 0.8245 0.6491 0.7200

Peak list (12 most intense, 10 to 90 degrees two-theta, in order of rising 2θ)
2θ 14.22, intensity 17.2; 2θ 16.75, intensity 42.3; 2θ 22.75, intensity 82.2; 2θ 24.75, intensity 59.2; 2θ 30.04, intensity 24.6; 2θ 33.87, intensity 100.0; 2θ 39.53, intensity 17.0; 2θ 42.40, intensity 27.3; 2θ 46.47, intensity 15.9; 2θ 50.77, intensity 29.1; 2θ 56.31, intensity 14.7; 2θ 62.43, intensity 15.3